Entry 1:
The following is a theoretical powder diffraction line list of La3MgBi5. It was derived from a cell relaxed with PBE, using Cu Kα.

Structure:
```
data_La3MgBi5
_chemical_formula_sum 'La6 Mg2 Bi10'
_symmetry_space_group_name_H-M 'P 63/m c m'
_symmetry_Int_Tables_number 193
_symmetry_space_group_name_Hall '-P 6c 2'
_cell_length_a 9.8670
_cell_length_b 9.8670
_cell_length_c 6.6118
_cell_angle_alpha 90.00
_cell_angle_beta 90.00
_cell_angle_gamma 120.00
loop_
_atom_site_label
_atom_site_type_symbol
_atom_site_fract_x
_atom_site_fract_y
_atom_site_fract_z
_atom_site_occupancy
La1 La 0.0000 0.3804 0.2500 1
Mg1 Mg 0.0000 0.0000 0.0000 1
Bi1 Bi 0.0000 0.2657 0.7500 1
Bi2 Bi 0.3333 0.6667 0.0000 1
```

Principal peaks in the range 2θ from 10° to 80°, in order of falling intensity:
| d/Å | intensity | hkl |
| --- | --- | --- |
| 2.746 | 100.0 | 1 1 2 |
| 2.848 | 83.7 | 3 0 0 |
| 2.902 | 79.5 | 2 1 1 |
| 1.977 | 30.7 | 2 2 2 |
| 3.230 | 24.0 | 2 1 0 |
| 1.430 | 21.2 | 3 0 4 |
| 1.820 | 21.0 | 2 1 3 |
| 1.879 | 19.6 | 3 2 1 |



Entry 2:
The following is a theoretical powder diffraction line list of LaMg6Bi. It was derived from a cell relaxed with PBE, using Cu Kα.

Structure:
```
data_LaMg6Bi
_chemical_formula_sum 'La2 Mg12 Bi2'
_symmetry_space_group_name_H-M 'A m m 2'
_symmetry_Int_Tables_number 38
_symmetry_space_group_name_Hall 'A 2 -2'
_cell_length_a 5.0847
_cell_length_b 6.6216
_cell_length_c 12.6211
_cell_angle_alpha 90.00
_cell_angle_beta 90.00
_cell_angle_gamma 90.00
loop_
_atom_site_label
_atom_site_type_symbol
_atom_site_fract_x
_atom_site_fract_y
_atom_site_fract_z
_atom_site_occupancy
La1 La 0.0000 0.0000 0.0000 1
Mg1 Mg 0.0000 0.0000 0.5333 1
Mg2 Mg 0.0000 0.2287 0.2545 1
Mg3 Mg 0.5000 0.0000 0.3807 1
Mg4 Mg 0.5000 0.2457 0.6157 1
Bi1 Bi 0.5000 0.0000 0.8270 1
```

Principal peaks in the range 2θ from 10° to 80°, in order of falling intensity:
| d/Å | intensity | hkl |
| --- | --- | --- |
| 2.540 | 100.0 | 2 0 0 |
| 5.864 | 97.7 | 0 1 1 |
| 2.911 | 58.4 | 1 1 3 |
| 3.959 | 45.7 | 1 0 2 |
| 2.681 | 38.0 | 1 0 4 |
| 3.841 | 35.2 | 1 1 1 |
| 2.333 | 20.5 | 2 1 1 |
| 2.359 | 19.4 | 0 1 5 |



Entry 3:
The following is a theoretical powder diffraction line list of LaMg14Bi. It was derived from a cell relaxed with PBE, using Cu Kα.

Structure:
```
data_LaMg14Bi
_chemical_formula_sum 'La1 Mg14 Bi1'
_symmetry_space_group_name_H-M 'P -6 m 2'
_symmetry_Int_Tables_number 187
_symmetry_space_group_name_Hall 'P -6 2'
_cell_length_a 6.5412
_cell_length_b 6.5412
_cell_length_c 10.7540
_cell_angle_alpha 90.00
_cell_angle_beta 90.00
_cell_angle_gamma 120.00
loop_
_atom_site_label
_atom_site_type_symbol
_atom_site_fract_x
_atom_site_fract_y
_atom_site_fract_z
_atom_site_occupancy
La1 La 0.0000 0.0000 0.0000 1
Mg1 Mg 0.0108 0.5054 0.0000 1
Mg2 Mg 0.1685 0.3370 0.2521 1
Mg3 Mg 0.5025 0.0050 0.5000 1
Mg4 Mg 0.6667 0.3333 0.2410 1
Bi1 Bi 0.0000 0.0000 0.5000 1
```

Principal peaks in the range 2θ from 10° to 80°, in order of falling intensity:
| d/Å | intensity | hkl |
| --- | --- | --- |
| 2.506 | 100.0 | 2 0 2 |
| 5.665 | 77.7 | 1 0 0 |
| 3.900 | 68.1 | 1 0 2 |
| 2.832 | 33.5 | 2 0 0 |
| 2.794 | 29.2 | 1 1 2 |
| 2.688 | 25.6 | 0 0 4 |
| 5.377 | 23.5 | 0 0 2 |
| 1.950 | 22.8 | 2 0 4 |



Entry 4:
The following is a theoretical powder diffraction line list of LaMg6Bi. It was derived from a cell relaxed with PBE, using Cu Kα.

Structure:
```
data_LaMg6Bi
_chemical_formula_sum 'La2 Mg12 Bi2'
_symmetry_space_group_name_H-M 'A m m 2'
_symmetry_Int_Tables_number 38
_symmetry_space_group_name_Hall 'A 2 -2'
_cell_length_a 5.3348
_cell_length_b 6.3712
_cell_length_c 12.5521
_cell_angle_alpha 90.00
_cell_angle_beta 90.00
_cell_angle_gamma 90.00
loop_
_atom_site_label
_atom_site_type_symbol
_atom_site_fract_x
_atom_site_fract_y
_atom_site_fract_z
_atom_site_occupancy
La1 La 0.0000 0.0000 0.0000 1
Mg1 Mg 0.0000 0.2491 0.2437 1
Mg2 Mg 0.5000 0.0000 0.1681 1
Mg3 Mg 0.5000 0.0000 0.6577 1
Mg4 Mg 0.5000 0.2496 0.3898 1
Bi1 Bi 0.0000 0.0000 0.4898 1
```

Principal peaks in the range 2θ from 10° to 80°, in order of falling intensity:
| d/Å | intensity | hkl |
| --- | --- | --- |
| 2.507 | 100.0 | 1 2 2 |
| 6.276 | 87.5 | 0 0 2 |
| 4.065 | 80.5 | 1 0 2 |
| 5.335 | 68.4 | 1 0 0 |
| 2.705 | 67.5 | 1 0 4 |
| 2.841 | 47.6 | 0 2 2 |
| 2.667 | 37.3 | 2 0 0 |
| 1.944 | 32.2 | 2 2 2 |



Entry 5:
The following is a theoretical powder diffraction line list of La2MgBiO6. It was derived from a cell relaxed with PBE, using Cu Kα.

Structure:
```
data_La2MgBiO6
_chemical_formula_sum 'La6 Mg3 Bi3 O18'
_symmetry_space_group_name_H-M 'R -3'
_symmetry_Int_Tables_number 148
_symmetry_space_group_name_Hall '-R 3'
_cell_length_a 5.9460
_cell_length_b 5.9460
_cell_length_c 14.2776
_cell_angle_alpha 90.00
_cell_angle_beta 90.00
_cell_angle_gamma 120.00
loop_
_atom_site_label
_atom_site_type_symbol
_atom_site_fract_x
_atom_site_fract_y
_atom_site_fract_z
_atom_site_occupancy
La1 La 0.0000 0.0000 0.2494 1
Mg1 Mg 0.0000 0.0000 0.5000 1
Bi1 Bi 0.0000 0.0000 0.0000 1
O1 O 0.0105 0.3998 0.2468 1
```

Principal peaks in the range 2θ from 10° to 80°, in order of falling intensity:
| d/Å | intensity | hkl |
| --- | --- | --- |
| 2.934 | 100.0 | 1 0 4 |
| 2.973 | 92.6 | 1 1 0 |
| 2.088 | 49.5 | 0 2 4 |
| 1.709 | 44.0 | 3 -1 4 |
| 4.844 | 43.5 | 1 0 1 |
| 1.716 | 27.4 | 3 0 0 |
| 2.521 | 21.3 | 1 1 3 |
| 1.686 | 20.0 | 0 1 8 |



Entry 6:
The following is a theoretical powder diffraction line list of La2MgZnBiO6. It was derived from a cell relaxed with PBE, using Cu Kα.

Structure:
```
data_La2MgZnBiO6
_chemical_formula_sum 'La2 Mg1 Zn1 Bi1 O6'
_symmetry_space_group_name_H-M 'P 1'
_symmetry_Int_Tables_number 1
_symmetry_space_group_name_Hall 'P 1'
_cell_length_a 5.9239
_cell_length_b 6.3517
_cell_length_c 6.5571
_cell_angle_alpha 62.17
_cell_angle_beta 63.91
_cell_angle_gamma 88.46
loop_
_atom_site_label
_atom_site_type_symbol
_atom_site_fract_x
_atom_site_fract_y
_atom_site_fract_z
_atom_site_occupancy
La1 La 0.0000 0.0000 0.0000 1
La2 La 0.1611 0.3573 0.2566 1
Mg1 Mg 0.6906 0.8792 0.6018 1
Zn1 Zn 0.6033 0.3107 0.7031 1
Bi1 Bi 0.2455 0.7196 0.5272 1
O1 O 0.3129 0.3583 0.5837 1
O2 O 0.3152 0.7378 0.8417 1
O3 O 0.3425 0.1235 0.0789 1
O4 O 0.8314 0.1793 0.2434 1
O5 O 0.8373 0.0648 0.7053 1
O6 O 0.8528 0.6374 0.4624 1
```

Principal peaks in the range 2θ from 10° to 80°, in order of falling intensity:
| d/Å | intensity | hkl |
| --- | --- | --- |
| 5.184 | 100.0 | 1 0 0 |
| 3.273 | 94.5 | 1 -1 1 |
| 3.241 | 61.3 | 1 1 2 |
| 3.173 | 54.3 | 0 2 1 |
| 2.657 | 53.6 | -1 2 1 |
| 2.589 | 49.3 | 2 1 2 |
| 3.033 | 48.4 | 0 1 -1 |
| 2.941 | 46.4 | 0 1 2 |